# 1
This entry pairs a crystal structure of Dy5Tm5Sc2 with its calculated X-ray powder pattern. Radiation: Cu Kα X-rays. Structure: DFT lattice parameters and positions (PBE).

Top 8 peaks for 2θ from 15° to 90°, in order of rising 2θ:
d = 4.601 Å, 2θ = 19.3°, I 4; d = 2.835 Å, 2θ = 31.6°, I 100; d = 2.455 Å, 2θ = 36.6°, I 50; d = 1.736 Å, 2θ = 52.7°, I 35; d = 1.481 Å, 2θ = 62.8°, I 42; d = 1.418 Å, 2θ = 65.9°, I 12; d = 1.127 Å, 2θ = 86.4°, I 18; d = 1.098 Å, 2θ = 89.2°, I 12

Crystal structure
Lattice parameters (Å, degrees): 7.7597 7.7597 10.9839 115.07 115.07 36.89
Atoms (fractional coordinates):
Dy  0.0000  0.0000  0.0000
Dy  0.1643  0.1643  0.4993
Dy  0.2527  0.2527  0.2507
Dy  0.7473  0.7473  0.7493
Dy  0.8357  0.8357  0.5007
Tm  0.3323  0.3323  0.9999
Tm  0.4191  0.4191  0.7501
Tm  0.5000  0.5000  0.5000
Tm  0.5809  0.5809  0.2499
Tm  0.6677  0.6677  0.0001
Sc  0.0838  0.0838  0.7520
Sc  0.9162  0.9162  0.2480

***

# 2
This entry pairs a crystal structure of DyPu2Fe with its calculated X-ray powder pattern. Radiation: Cu Kα X-rays. Structure: DFT lattice parameters and positions (PBE).

Top 8 peaks for 2θ from 15° to 90°, in order of rising 2θ:
d = 3.089 Å, 2θ = 28.9°, I 34; d = 2.887 Å, 2θ = 31.0°, I 27; d = 2.628 Å, 2θ = 34.1°, I 100; d = 2.338 Å, 2θ = 38.5°, I 53; d = 1.817 Å, 2θ = 50.2°, I 29; d = 1.653 Å, 2θ = 55.6°, I 19; d = 1.534 Å, 2θ = 60.3°, I 19; d = 1.399 Å, 2θ = 66.9°, I 29

Crystal structure
Lattice parameters (Å, degrees): 3.3061 3.3061 8.6604 90.00 90.00 90.00
Atoms (fractional coordinates):
Dy  0.0000  0.0000  0.0000
Pu  0.5000  0.5000  0.3085
Pu  0.5000  0.5000  0.6915
Fe  0.0000  0.0000  0.5000

***

# 3
This entry pairs a crystal structure of BaNi9Ge4 with its calculated X-ray powder pattern. Radiation: Cu Kα X-rays. Structure: DFT lattice parameters and positions (PBE).

Top 8 peaks for 2θ from 15° to 90°, in order of rising 2θ:
d = 2.643 Å, 2θ = 33.9°, I 28; d = 2.576 Å, 2θ = 34.8°, I 24; d = 2.555 Å, 2θ = 35.1°, I 34; d = 2.399 Å, 2θ = 37.5°, I 53; d = 2.348 Å, 2θ = 38.3°, I 100; d = 1.990 Å, 2θ = 45.6°, I 85; d = 1.952 Å, 2θ = 46.5°, I 56; d = 1.934 Å, 2θ = 47.0°, I 61

Crystal structure
Lattice parameters (Å, degrees): 8.2576 8.2576 8.2576 121.42 121.42 87.56
Atoms (fractional coordinates):
Ba  0.2500  0.2500  0.0000
Ba  0.7500  0.7500  0.0000
Ni  0.0000  0.5000  0.5000
Ni  0.0594  0.5594  0.2581
Ni  0.0678  0.7933  0.8611
Ni  0.1987  0.9406  0.5000
Ni  0.2067  0.0678  0.2746
Ni  0.2933  0.5678  0.8611
Ni  0.3013  0.8013  0.7419
Ni  0.4322  0.2933  0.7254
Ni  0.4406  0.6987  0.5000
Ni  0.5000  0.0000  0.5000
Ni  0.5594  0.3013  0.5000
Ni  0.5678  0.7067  0.2746
Ni  0.6987  0.1987  0.2581
Ni  0.7067  0.4322  0.1389
Ni  0.7933  0.9322  0.7254
Ni  0.8013  0.0594  0.5000
Ni  0.9322  0.2067  0.1389
Ni  0.9406  0.4406  0.7419
Ge  0.0535  0.2052  0.5000
Ge  0.2052  0.7052  0.1517
Ge  0.2948  0.4465  0.5000
Ge  0.4465  0.9465  0.1517
Ge  0.5535  0.0535  0.8483
Ge  0.7052  0.5535  0.5000
Ge  0.7948  0.2948  0.8483
Ge  0.9465  0.7948  0.5000

***

# 4
This entry pairs a crystal structure of PmTmAl6 with its calculated X-ray powder pattern. Radiation: Cu Kα X-rays. Structure: DFT lattice parameters and positions (PBE).

Top 8 peaks for 2θ from 15° to 90°, in order of rising 2θ:
d = 5.448 Å, 2θ = 16.3°, I 26; d = 3.543 Å, 2θ = 25.1°, I 100; d = 3.145 Å, 2θ = 28.4°, I 47; d = 2.724 Å, 2θ = 32.9°, I 24; d = 2.352 Å, 2θ = 38.3°, I 96; d = 2.332 Å, 2θ = 38.6°, I 22; d = 1.884 Å, 2θ = 48.3°, I 26; d = 1.874 Å, 2θ = 48.6°, I 22

Crystal structure
Lattice parameters (Å, degrees): 4.6648 6.2952 10.8879 90.00 90.00 90.00
Atoms (fractional coordinates):
Pm  0.0000  0.0000  0.0000
Pm  0.0000  0.5000  0.5000
Tm  0.5000  0.0000  0.6672
Tm  0.5000  0.5000  0.1672
Al  0.0000  0.0000  0.4812
Al  0.0000  0.2208  0.2598
Al  0.0000  0.2792  0.7598
Al  0.0000  0.5000  0.9812
Al  0.0000  0.7208  0.7598
Al  0.0000  0.7792  0.2598
Al  0.5000  0.0000  0.1892
Al  0.5000  0.2161  0.4058
Al  0.5000  0.2839  0.9058
Al  0.5000  0.5000  0.6892
Al  0.5000  0.7161  0.9058
Al  0.5000  0.7839  0.4058